Record 1
# TbPrPtPb
Calculated X-ray diffraction stick pattern, CuKα. Input: a DFT-relaxed cell (GGA-PBE, Alexandria).

Largest 6 diffraction maxima, sorted by position, 5° ≤ 2θ ≤ 70°:
d 3.749, I = 2; d 2.651, I = 100; d 2.165, I = 1; d 1.875, I = 18; d 1.677, I = 1; d 1.531, I = 38

Structure:
```
TbPrPtPb
1.0
0.0000 3.7493 3.7493
3.7493 0.0000 3.7493
3.7493 3.7493 0.0000
Tb Pr Pt Pb
1 1 1 1
Direct
0.0000 0.0000 0.0000 Tb
0.5000 0.5000 0.5000 Pr
0.2500 0.2500 0.2500 Pt
0.7500 0.7500 0.7500 Pb
```

Record 2
# PrPu2Pb
Calculated X-ray diffraction stick pattern, CuKα. Input: a DFT-relaxed cell (GGA-PBE, Alexandria).

Largest 6 diffraction maxima, sorted by position, 5° ≤ 2θ ≤ 70°:
d 2.805, I = 100; d 2.621, I = 21; d 2.348, I = 31; d 1.749, I = 26; d 1.546, I = 17; d 1.429, I = 27

Structure:
```
PrPu2Pb
1.0
4.6961 0.0000 0.0000
0.0000 4.6961 0.0000
0.0000 0.0000 5.2419
Pr Pu Pb
1 2 1
Direct
0.0000 0.0000 0.0000 Pr
0.0000 0.5000 0.5000 Pu
0.5000 0.0000 0.5000 Pu
0.5000 0.5000 0.0000 Pb
```